(1)
# Cs2PuI7
Computed powder diffractogram, Cu Kα. Input: a cell relaxed with PBE.

Principal peaks in the range 10° ≤ 2θ ≤ 80°, low angle first:
- 11.7°, intensity 22.1
- 13.5°, intensity 36.8
- 19.1°, intensity 38.5
- 23.4°, intensity 43.1
- 27.1°, intensity 100.0
- 38.7°, intensity 72.7
- 47.9°, intensity 24.8
- 63.3°, intensity 29.3

Structure:
Unit cell a=9.2961 b=9.2961 c=9.2961 alpha=60.00 beta=60.00 gamma=60.00
Atoms (fractional coordinates):
Cs 0.2500 0.2500 0.2500
Cs 0.7500 0.7500 0.7500
Pu 0.0000 0.0000 0.0000
I 0.2282 0.2282 0.7718
I 0.2282 0.7718 0.2282
I 0.2282 0.7718 0.7718
I 0.5000 0.5000 0.5000
I 0.7718 0.2282 0.2282
I 0.7718 0.2282 0.7718
I 0.7718 0.7718 0.2282

(2)
# Sm7HoTl5
Computed powder diffractogram, Cu Kα. Input: a cell relaxed with PBE.

Principal peaks in the range 10° ≤ 2θ ≤ 80°, low angle first:
- 31.2°, intensity 36.0
- 31.4°, intensity 49.1
- 32.4°, intensity 42.1
- 32.5°, intensity 50.4
- 33.1°, intensity 27.4
- 35.4°, intensity 100.0
- 37.0°, intensity 32.8
- 59.7°, intensity 26.7

Structure:
Unit cell a=8.4394 b=8.4394 c=8.4394 alpha=133.15 beta=100.15 gamma=98.04
Atoms (fractional coordinates):
Sm 0.0000 0.0000 0.0000
Sm 0.2932 0.6283 0.6648
Sm 0.3311 0.3311 0.0000
Sm 0.4260 0.1128 0.3132
Sm 0.7997 0.1128 0.6868
Sm 0.8543 0.3543 0.5000
Sm 0.9635 0.6283 0.3352
Ho 0.6697 0.6697 0.0000
Tl 0.1078 0.1137 0.4835
Tl 0.1078 0.6243 0.9940
Tl 0.3832 0.8832 0.5000
Tl 0.6303 0.1137 0.0060
Tl 0.6303 0.6243 0.5165

(3)
# NaLaHg
Computed powder diffractogram, Cu Kα. Input: a cell relaxed with PBE.

Principal peaks in the range 10° ≤ 2θ ≤ 80°, low angle first:
- 18.7°, intensity 39.7
- 28.2°, intensity 52.1
- 29.7°, intensity 100.0
- 31.2°, intensity 33.1
- 32.0°, intensity 35.4
- 35.3°, intensity 43.9
- 41.4°, intensity 64.0
- 43.1°, intensity 24.0

Structure:
Unit cell a=10.0651 b=10.0651 c=10.0651 alpha=159.58 beta=147.69 gamma=38.53
Atoms (fractional coordinates):
Na 0.2484 0.0000 0.2484
Na 0.7516 0.0000 0.7516
La 0.3245 0.3245 0.0000
La 0.6755 0.6755 0.0000
Hg 0.1514 0.1514 0.0000
Hg 0.8486 0.8486 0.0000

(4)
# Tm7AgPd4
Computed powder diffractogram, Cu Kα. Input: a cell relaxed with PBE.

Principal peaks in the range 10° ≤ 2θ ≤ 80°, low angle first:
- 30.3°, intensity 40.6
- 33.0°, intensity 43.5
- 33.2°, intensity 36.0
- 33.4°, intensity 100.0
- 35.1°, intensity 31.0
- 36.2°, intensity 69.7
- 38.1°, intensity 90.0
- 45.7°, intensity 28.2

Structure:
Unit cell a=7.4991 b=7.4991 c=9.4995 alpha=123.33 beta=123.33 gamma=41.98
Atoms (fractional coordinates):
Tm 0.0000 0.0000 0.0000
Tm 0.2079 0.2079 0.6563
Tm 0.2823 0.2823 0.1183
Tm 0.4351 0.4351 0.6298
Tm 0.5649 0.5649 0.3702
Tm 0.7177 0.7177 0.8817
Tm 0.7921 0.7921 0.3437
Ag 0.5000 0.5000 0.0000
Pd 0.0664 0.0664 0.7677
Pd 0.2001 0.2001 0.3485
Pd 0.7999 0.7999 0.6515
Pd 0.9336 0.9336 0.2323

(5)
# Rb4AuBrO
Computed powder diffractogram, Cu Kα. Input: a cell relaxed with PBE.

Principal peaks in the range 10° ≤ 2θ ≤ 80°, low angle first:
- 22.6°, intensity 25.9
- 24.8°, intensity 43.1
- 30.5°, intensity 100.0
- 32.2°, intensity 50.0
- 44.9°, intensity 26.1
- 53.1°, intensity 19.5
- 56.3°, intensity 41.5
- 76.6°, intensity 21.3

Structure:
Unit cell a=9.6314 b=9.6314 c=9.6314 alpha=146.41 beta=146.41 gamma=48.24
Atoms (fractional coordinates):
Rb 0.0000 0.0000 0.0000
Rb 0.1566 0.6566 0.5000
Rb 0.3090 0.3090 0.0000
Rb 0.6566 0.1566 0.5000
Au 0.5117 0.5117 0.0000
Br 0.7965 0.7965 0.0000
O 0.1555 0.1555 0.0000

(6)
# Ti4Pd12Pt
Computed powder diffractogram, Cu Kα. Input: a cell relaxed with PBE.

Principal peaks in the range 10° ≤ 2θ ≤ 80°, low angle first:
- 21.6°, intensity 51.1
- 34.4°, intensity 25.1
- 37.8°, intensity 100.0
- 41.0°, intensity 39.9
- 44.0°, intensity 82.8
- 52.1°, intensity 28.7
- 63.9°, intensity 43.2
- 76.8°, intensity 22.1

Structure:
Unit cell a=7.1324 b=7.1324 c=7.1324 alpha=109.47 beta=109.47 gamma=109.47
Atoms (fractional coordinates):
Ti 0.0000 0.0000 0.5000
Ti 0.0000 0.5000 0.0000
Ti 0.5000 0.0000 0.0000
Ti 0.5000 0.5000 0.5000
Pd 0.0000 0.2991 0.2991
Pd 0.0000 0.7009 0.7009
Pd 0.2500 0.5000 0.7500
Pd 0.2500 0.7500 0.5000
Pd 0.2991 0.0000 0.2991
Pd 0.2991 0.2991 0.0000
Pd 0.5000 0.2500 0.7500
Pd 0.5000 0.7500 0.2500
Pd 0.7009 0.0000 0.7009
Pd 0.7009 0.7009 0.0000
Pd 0.7500 0.2500 0.5000
Pd 0.7500 0.5000 0.2500
Pt 0.0000 0.0000 0.0000

Repeat the second record exactly.
# Sm7HoTl5
Computed powder diffractogram, Cu Kα. Input: a cell relaxed with PBE.

Principal peaks in the range 10° ≤ 2θ ≤ 80°, low angle first:
- 31.2°, intensity 36.0
- 31.4°, intensity 49.1
- 32.4°, intensity 42.1
- 32.5°, intensity 50.4
- 33.1°, intensity 27.4
- 35.4°, intensity 100.0
- 37.0°, intensity 32.8
- 59.7°, intensity 26.7

Structure:
Unit cell a=8.4394 b=8.4394 c=8.4394 alpha=133.15 beta=100.15 gamma=98.04
Atoms (fractional coordinates):
Sm 0.0000 0.0000 0.0000
Sm 0.2932 0.6283 0.6648
Sm 0.3311 0.3311 0.0000
Sm 0.4260 0.1128 0.3132
Sm 0.7997 0.1128 0.6868
Sm 0.8543 0.3543 0.5000
Sm 0.9635 0.6283 0.3352
Ho 0.6697 0.6697 0.0000
Tl 0.1078 0.1137 0.4835
Tl 0.1078 0.6243 0.9940
Tl 0.3832 0.8832 0.5000
Tl 0.6303 0.1137 0.0060
Tl 0.6303 0.6243 0.5165